# 1
Structure and computed PXRD pattern of AcDyS3 (a DFT-relaxed cell (PBE, Alexandria); copper Kα).
Lines closer than 0.1° are merged.

Cell and atoms:
```
20
Lattice="8.246 0.000 0.000 0.000 4.095 0.000 0.000 0.000 14.943" Properties=species:S:1:pos:R:3 pbc="T T T"
Ac 1.068 1.024 2.918
Ac 3.055 3.072 10.390
Ac 5.190 1.024 4.553
Ac 7.178 3.072 12.025
Dy 1.583 3.072 6.805
Dy 2.540 1.024 14.276
Dy 5.706 3.072 0.667
Dy 6.663 1.024 8.138
S 0.021 1.024 5.840
S 1.295 3.072 0.694
S 1.311 1.024 11.830
S 2.812 3.072 4.358
S 2.827 1.024 8.165
S 4.101 3.072 13.311
S 4.144 1.024 1.631
S 5.418 3.072 6.778
S 5.434 1.024 10.585
S 6.934 3.072 3.113
S 6.950 1.024 14.249
S 8.224 3.072 9.103
```

Most intense lines, 10 to 80 degrees two-theta, sorted by position:
- 4.263 Å, intensity 37
- 3.974 Å, intensity 63
- 3.950 Å, intensity 26
- 3.562 Å, intensity 65
- 3.403 Å, intensity 53
- 3.163 Å, intensity 32
- 2.708 Å, intensity 100
- 2.317 Å, intensity 29
- 2.048 Å, intensity 26
- 1.845 Å, intensity 26

---

# 2
Structure and computed PXRD pattern of CsBr (a DFT-relaxed cell (PBE, Alexandria); copper Kα).
Lines closer than 0.1° are merged.

Cell and atoms:
```
2
Lattice="0.000 3.686 3.686 3.686 0.000 3.686 3.686 3.686 0.000" Properties=species:S:1:pos:R:3 pbc="T T T"
Cs 0.000 0.000 0.000
Br 3.686 3.686 3.686
```

Most intense lines, 10 to 80 degrees two-theta, sorted by position:
- 4.256 Å, intensity 9
- 3.686 Å, intensity 100
- 2.607 Å, intensity 79
- 2.223 Å, intensity 5
- 2.128 Å, intensity 29
- 1.843 Å, intensity 14
- 1.649 Å, intensity 39
- 1.505 Å, intensity 29
- 1.303 Å, intensity 9
- 1.229 Å, intensity 18

---

# 3
Structure and computed PXRD pattern of Mn3BiI9 (a DFT-relaxed cell (PBE, Alexandria); copper Kα).
Lines closer than 0.1° are merged.

Cell and atoms:
```
26
Lattice="10.232 -5.216 0.000 10.232 5.216 0.000 -9.222 0.000 11.449" Properties=species:S:1:pos:R:3 pbc="T T T"
Mn 5.621 4.509 5.725
Mn 2.496 0.786 6.272
Mn 7.107 -0.786 0.548
Mn 8.569 1.250 4.454
Mn 3.958 -1.250 10.179
Mn 10.232 -4.509 0.000
Bi 12.967 2.355 2.443
Bi 8.356 -2.355 8.167
I 0.072 1.925 5.862
I 10.330 3.913 1.823
I 4.143 2.741 7.191
I 8.186 3.639 5.666
I 7.033 1.351 2.220
I -1.073 0.222 9.718
I 3.538 -0.222 3.993
I 4.683 -1.925 0.138
I 11.821 0.557 0.211
I 2.422 -1.351 7.944
I 7.210 -0.557 5.936
I 11.233 0.820 4.549
I 8.754 -2.741 1.467
I 6.621 -0.820 10.274
I 15.187 0.215 3.272
I 10.575 -0.215 8.996
I 5.719 -3.913 7.548
I 3.575 -3.639 11.391
```

Most intense lines, 10 to 80 degrees two-theta, sorted by position:
- 8.489 Å, intensity 42
- 6.016 Å, intensity 100
- 3.856 Å, intensity 36
- 3.797 Å, intensity 63
- 3.681 Å, intensity 57
- 3.538 Å, intensity 81
- 3.447 Å, intensity 49
- 3.166 Å, intensity 43
- 2.563 Å, intensity 33
- 2.486 Å, intensity 37

---

# 4
Structure and computed PXRD pattern of Pm3Sm2Ga4 (a DFT-relaxed cell (PBE, Alexandria); copper Kα).
Lines closer than 0.1° are merged.

Cell and atoms:
```
18
Lattice="8.182 0.000 0.000 0.000 8.192 0.000 -2.040 0.000 7.227" Properties=species:S:1:pos:R:3 pbc="T T T"
Pm 0.000 0.000 0.000
Pm -1.020 4.096 3.614
Pm 0.640 1.428 5.399
Pm 1.660 2.668 1.786
Pm 4.482 5.524 5.441
Pm 5.502 6.764 1.828
Sm 0.669 5.627 6.704
Sm 1.689 6.661 3.090
Sm 4.453 1.531 4.137
Sm 5.473 2.565 0.523
Ga -0.119 5.115 0.841
Ga -1.139 7.172 4.454
Ga 3.156 0.236 0.976
Ga 2.136 3.860 4.590
Ga 4.007 4.332 2.638
Ga 2.987 7.955 6.251
Ga 7.281 1.019 2.773
Ga 6.261 3.076 6.387
```

Most intense lines, 10 to 80 degrees two-theta, sorted by position:
- 3.095 Å, intensity 21
- 2.914 Å, intensity 49
- 2.838 Å, intensity 100
- 2.809 Å, intensity 64
- 2.740 Å, intensity 25
- 2.625 Å, intensity 27
- 2.554 Å, intensity 39
- 2.393 Å, intensity 36
- 1.969 Å, intensity 25
- 1.687 Å, intensity 16

---

# 5
Structure and computed PXRD pattern of USnPt (a DFT-relaxed cell (PBE, Alexandria); copper Kα).
Lines closer than 0.1° are merged.

Cell and atoms:
```
6
Lattice="1.720 -8.030 0.000 1.720 8.030 0.000 0.000 0.000 4.920" Properties=species:S:1:pos:R:3 pbc="T T T"
U 1.720 6.605 3.690
U 1.720 -6.605 1.230
Sn 1.720 4.447 1.230
Sn 1.720 -4.447 3.690
Pt 1.720 0.923 3.690
Pt 1.720 -0.923 1.230
```

Most intense lines, 10 to 80 degrees two-theta, sorted by position:
- 8.030 Å, intensity 26
- 2.894 Å, intensity 9
- 2.677 Å, intensity 19
- 2.494 Å, intensity 100
- 2.460 Å, intensity 28
- 2.351 Å, intensity 20
- 1.811 Å, intensity 12
- 1.720 Å, intensity 10
- 1.427 Å, intensity 18
- 1.409 Å, intensity 10

---

# 6
Structure and computed PXRD pattern of Y3HoTh (a DFT-relaxed cell (PBE, Alexandria); copper Kα).
Lines closer than 0.1° are merged.

Cell and atoms:
```
20
Lattice="6.576 -6.620 0.000 6.576 6.620 0.000 0.000 0.000 7.557" Properties=species:S:1:pos:R:3 pbc="T T T"
Y 4.621 3.638 0.917
Y 6.576 5.374 6.460
Y 4.621 2.983 4.696
Y 8.530 3.638 0.917
Y 6.576 1.246 2.681
Y 8.530 2.983 4.696
Y 4.621 -2.983 2.861
Y 6.576 -1.246 4.876
Y 4.621 -3.638 6.640
Y 8.530 -2.983 2.861
Y 6.576 -5.374 1.097
Y 8.530 -3.638 6.640
Ho 3.288 0.318 1.889
Ho 3.288 -0.318 5.668
Ho 9.864 0.318 1.889
Ho 9.864 -0.318 5.668
Th 6.576 5.213 3.161
Th 6.576 1.407 6.939
Th 6.576 -1.407 0.617
Th 6.576 -5.213 4.396
```

Most intense lines, 10 to 80 degrees two-theta, sorted by position:
- 6.589 Å, intensity 11
- 5.873 Å, intensity 21
- 3.645 Å, intensity 13
- 3.282 Å, intensity 43
- 2.957 Å, intensity 47
- 2.942 Å, intensity 50
- 2.801 Å, intensity 100
- 2.455 Å, intensity 11
- 1.572 Å, intensity 15
- 1.468 Å, intensity 11

---

# 7
Structure and computed PXRD pattern of Tl6HgI8 (a DFT-relaxed cell (PBE, Alexandria); copper Kα).
Lines closer than 0.1° are merged.

Cell and atoms:
```
15
Lattice="10.480 0.000 0.000 -5.240 9.076 0.000 0.000 0.000 6.833" Properties=species:S:1:pos:R:3 pbc="T T T"
Tl -1.972 3.416 1.487
Tl -3.268 5.660 5.346
Tl 3.944 0.000 1.487
Tl 1.972 3.416 5.346
Tl 6.536 0.000 5.346
Tl 3.268 5.660 1.487
Hg 0.000 0.000 0.000
I -1.303 2.256 5.154
I -3.937 6.820 1.680
I 2.605 0.000 5.154
I 1.303 2.256 1.680
I 0.000 6.051 0.000
I 5.240 3.025 0.000
I 7.875 0.000 1.680
I 3.937 6.820 5.154
```

Most intense lines, 10 to 80 degrees two-theta, sorted by position:
- 6.833 Å, intensity 34
- 4.158 Å, intensity 38
- 3.417 Å, intensity 26
- 3.066 Å, intensity 100
- 3.025 Å, intensity 78
- 2.862 Å, intensity 80
- 2.766 Å, intensity 19
- 2.446 Å, intensity 25
- 2.080 Å, intensity 28
- 1.898 Å, intensity 22

---

# 8
Structure and computed PXRD pattern of HfBBr (a DFT-relaxed cell (PBE, Alexandria); copper Kα).
Lines closer than 0.1° are merged.

Cell and atoms:
```
6
Lattice="3.278 -1.834 0.000 3.278 1.834 0.000 -3.172 0.000 10.841" Properties=species:S:1:pos:R:3 pbc="T T T"
Hf 0.026 0.000 3.924
Hf 3.357 0.000 6.917
B -1.055 0.000 5.997
B 4.439 0.000 4.843
Br 2.318 0.000 2.012
Br 1.066 0.000 8.829
```

Most intense lines, 10 to 80 degrees two-theta, sorted by position:
- 5.420 Å, intensity 26
- 3.277 Å, intensity 26
- 3.129 Å, intensity 41
- 2.932 Å, intensity 100
- 2.710 Å, intensity 21
- 2.581 Å, intensity 42
- 2.570 Å, intensity 53
- 2.416 Å, intensity 24
- 1.920 Å, intensity 23
- 1.821 Å, intensity 21

---

Copy entry 3 word for word.
Structure and computed PXRD pattern of Mn3BiI9 (a DFT-relaxed cell (PBE, Alexandria); copper Kα).
Lines closer than 0.1° are merged.

Cell and atoms:
```
26
Lattice="10.232 -5.216 0.000 10.232 5.216 0.000 -9.222 0.000 11.449" Properties=species:S:1:pos:R:3 pbc="T T T"
Mn 5.621 4.509 5.725
Mn 2.496 0.786 6.272
Mn 7.107 -0.786 0.548
Mn 8.569 1.250 4.454
Mn 3.958 -1.250 10.179
Mn 10.232 -4.509 0.000
Bi 12.967 2.355 2.443
Bi 8.356 -2.355 8.167
I 0.072 1.925 5.862
I 10.330 3.913 1.823
I 4.143 2.741 7.191
I 8.186 3.639 5.666
I 7.033 1.351 2.220
I -1.073 0.222 9.718
I 3.538 -0.222 3.993
I 4.683 -1.925 0.138
I 11.821 0.557 0.211
I 2.422 -1.351 7.944
I 7.210 -0.557 5.936
I 11.233 0.820 4.549
I 8.754 -2.741 1.467
I 6.621 -0.820 10.274
I 15.187 0.215 3.272
I 10.575 -0.215 8.996
I 5.719 -3.913 7.548
I 3.575 -3.639 11.391
```

Most intense lines, 10 to 80 degrees two-theta, sorted by position:
- 8.489 Å, intensity 42
- 6.016 Å, intensity 100
- 3.856 Å, intensity 36
- 3.797 Å, intensity 63
- 3.681 Å, intensity 57
- 3.538 Å, intensity 81
- 3.447 Å, intensity 49
- 3.166 Å, intensity 43
- 2.563 Å, intensity 33
- 2.486 Å, intensity 37